The following is a simulated X-ray powder pattern of Cs2Mg3Pb5. It was derived from the GGA-PBE geometry in Alexandria, using Cu Kα X-rays.
No peak broadening, texture or thermal motion is included.

Structure:
Lattice parameters (Å, degrees): 10.481 10.481 10.481 102.22 91.90 139.04
Sites, in units of the cell vectors:
Cs 0.130 0.244 0.373
Cs 0.370 0.744 0.114
Cs 0.630 0.256 0.886
Cs 0.870 0.756 0.627
Mg 0.123 0.873 0.997
Mg 0.250 0.750 0.500
Mg 0.377 0.373 0.750
Mg 0.623 0.627 0.250
Mg 0.750 0.250 0.500
Mg 0.877 0.127 0.003
Pb 0.007 0.750 0.257
Pb 0.114 0.640 0.754
Pb 0.250 0.250 0.000
Pb 0.386 0.140 0.526
Pb 0.493 0.750 0.743
Pb 0.507 0.250 0.257
Pb 0.614 0.860 0.474
Pb 0.750 0.750 0.000
Pb 0.886 0.360 0.246
Pb 0.993 0.250 0.743

Largest 8 diffraction maxima, sorted by position, 15° ≤ 2θ ≤ 90°:
- 19.1 deg, I 27
- 26.7 deg, I 51
- 27.9 deg, I 90
- 28.0 deg, I 87
- 34.7 deg, I 100
- 36.7 deg, I 31
- 36.8 deg, I 29
- 38.4 deg, I 37